For KBP3, a PBE-relaxed structure gives the computed powder diffractogram in this record (Cu Kα).

Main lines, sorted by position (2θ = 10–90°):
35.12°, intensity 1000, (1 1 1)
40.78°, intensity 600, (2 0 0)
59.04°, intensity 366, (2 2 0)
70.59°, intensity 343, (3 1 1)
74.24°, intensity 123, (2 2 2)
88.34°, intensity 61, (4 0 0)

Structural model:
a b c (Å): 4.4254 4.4254 4.4254
angles (deg): 90.00 90.00 90.00
Atoms (fractional coordinates):
K: 0.0000 0.0000 0.0000
B: 0.5000 0.5000 0.5000
P: 0.0000 0.5000 0.5000
P: 0.5000 0.0000 0.5000
P: 0.5000 0.5000 0.0000